Computed XRD peak list
Compound: Ca5Sn3S11
Radiation: copper Kα
Structure: a GGA-PBE-relaxed structure

Cell and atoms:
```
data_Ca5Sn3S11
_chemical_formula_sum 'Ca10 Sn6 S22'
_cell_length_a 8.749
_cell_length_b 8.750
_cell_length_c 13.915
_cell_angle_alpha 84.23
_cell_angle_beta 85.14
_cell_angle_gamma 76.83
_space_group_name_H-M_alt 'P -1'
_space_group_IT_number 2
_space_group_name_Hall '-P 1'
loop_
_atom_site_label
_atom_site_type_symbol
_atom_site_fract_x
_atom_site_fract_y
_atom_site_fract_z
Ca1 Ca 0.041 0.016 0.242
Ca2 Ca 0.100 0.451 0.767
Ca3 Ca 0.300 0.708 0.997
Ca4 Ca 0.334 0.672 0.506
Ca5 Ca 0.447 0.078 0.754
Sn1 Sn 0.176 0.186 0.467
Sn2 Sn 0.216 0.210 0.017
Sn3 Sn 0.429 0.453 0.258
S1 S 0.030 0.705 0.891
S2 S 0.056 0.715 0.620
S3 S 0.153 0.138 0.863
S4 S 0.156 0.161 0.639
S5 S 0.200 0.618 0.194
S6 S 0.290 0.951 0.387
S7 S 0.317 0.965 0.110
S8 S 0.352 0.372 0.431
S9 S 0.378 0.389 0.956
S10 S 0.400 0.775 0.799
S11 S 0.414 0.401 0.668
```

Main lines, low angle first (2θ = 10–90°):
2θ (°), I (rel.), (hkl)
16.30, 100, 1 -1 0
21.21, 93, 1 2 0
23.66, 77, 0 2 2
23.87, 64, 2 0 2
25.29, 43, 2 0 -2
25.53, 45, 0 2 -2

Computed XRD peak list
Compound: U2Al6Pd3Pt
Radiation: copper Kα
Structure: a GGA-PBE-relaxed structure

Cell and atoms:
```
data_U2Al6Pd3Pt
_chemical_formula_sum 'U2 Al6 Pd3 Pt1'
_cell_length_a 4.232
_cell_length_b 5.374
_cell_length_c 9.288
_cell_angle_alpha 90.00
_cell_angle_beta 90.00
_cell_angle_gamma 90.00
_space_group_name_H-M_alt 'P m m 2'
_space_group_IT_number 25
_space_group_name_Hall 'P 2 -2'
loop_
_atom_site_label
_atom_site_type_symbol
_atom_site_fract_x
_atom_site_fract_y
_atom_site_fract_z
U1 U 0.000 0.000 0.000
U2 U 0.000 0.500 0.498
Al1 Al 0.500 0.000 0.499
Al2 Al 0.500 0.250 0.249
Al3 Al 0.500 0.250 0.749
Al4 Al 0.500 0.500 0.999
Pd1 Pd 0.000 0.000 0.667
Pd2 Pd 0.000 0.500 0.164
Pd3 Pd 0.000 0.500 0.833
Pt1 Pt 0.000 0.000 0.332
```

Main lines, low angle first (2θ = 10–90°):
2θ (°), I (rel.), (hkl)
20.99, 52, 1 0 0
33.38, 64, 0 2 0
39.77, 100, 1 2 0
42.73, 17, 2 0 0
55.28, 31, 2 2 0
63.98, 25, 1 3 3

Computed XRD peak list
Compound: CaLaMg2
Radiation: copper Kα
Structure: a GGA-PBE-relaxed structure

Cell and atoms:
```
data_CaLaMg2
_chemical_formula_sum 'Ca4 La4 Mg8'
_cell_length_a 7.926
_cell_length_b 7.926
_cell_length_c 7.926
_cell_angle_alpha 90.00
_cell_angle_beta 90.00
_cell_angle_gamma 90.00
_space_group_name_H-M_alt 'F m -3 m'
_space_group_IT_number 225
_space_group_name_Hall '-F 4 2 3'
loop_
_atom_site_label
_atom_site_type_symbol
_atom_site_fract_x
_atom_site_fract_y
_atom_site_fract_z
Ca1 Ca 0.000 0.000 0.000
La1 La 0.000 0.000 0.500
Mg1 Mg 0.250 0.250 0.250
```

Main lines, low angle first (2θ = 10–90°):
2θ (°), I (rel.), (hkl)
19.40, 37, 1 1 1
22.43, 37, 2 0 0
31.94, 100, 2 2 0
37.64, 22, 3 1 1
45.79, 18, 4 0 0
56.91, 37, 4 2 2

Computed XRD peak list
Compound: CeSe2
Radiation: copper Kα
Structure: a GGA-PBE-relaxed structure

Cell and atoms:
```
data_CeSe2
_chemical_formula_sum 'Ce3 Se6'
_cell_length_a 4.0857
_cell_length_b 4.0857
_cell_length_c 19.1607
_cell_angle_alpha 90.00
_cell_angle_beta 90.00
_cell_angle_gamma 120.00
_space_group_name_H-M_alt 'R 3 m'
_space_group_IT_number 160
_space_group_name_Hall 'R 3 -2"'
loop_
_atom_site_label
_atom_site_type_symbol
_atom_site_fract_x
_atom_site_fract_y
_atom_site_fract_z
Ce1 Ce 0.0000 0.0000 0.0000
Se1 Se 0.0000 0.0000 0.5793
Se2 Se 0.0000 0.0000 0.7549
```

Main lines, low angle first (2θ = 10–90°):
2θ (°), I (rel.), (hkl)
13.87, 77, 0 0 3
25.60, 67, 1 0 1
31.43, 85, 1 0 4
34.50, 100, 0 1 5
41.72, 47, 1 0 7
44.34, 70, 1 1 0

Computed XRD peak list
Compound: ScMn6Sn6
Radiation: copper Kα
Structure: a GGA-PBE-relaxed structure

Cell and atoms:
```
data_ScMn6Sn6
_chemical_formula_sum 'Sc1 Mn6 Sn6'
_cell_length_a 5.4113
_cell_length_b 5.4113
_cell_length_c 8.9609
_cell_angle_alpha 90.00
_cell_angle_beta 90.00
_cell_angle_gamma 120.00
_space_group_name_H-M_alt 'P 6/m m m'
_space_group_IT_number 191
_space_group_name_Hall '-P 6 2'
loop_
_atom_site_label
_atom_site_type_symbol
_atom_site_fract_x
_atom_site_fract_y
_atom_site_fract_z
Sc1 Sc 0.0000 0.0000 0.0000
Mn1 Mn 0.0000 0.5000 0.2478
Sn1 Sn 0.0000 0.0000 0.3272
Sn2 Sn 0.3333 0.6667 0.0000
Sn3 Sn 0.3333 0.6667 0.5000
```

Main lines, low angle first (2θ = 10–90°):
2θ (°), I (rel.), (hkl)
27.54, 35, 1 0 2
33.11, 100, 1 1 0
38.88, 76, 1 1 2
43.59, 96, 2 0 2
69.48, 33, 2 2 0
72.26, 38, 1 1 6

Computed XRD peak list
Compound: HgPt
Radiation: copper Kα
Structure: a GGA-PBE-relaxed structure

Cell and atoms:
```
data_HgPt
_chemical_formula_sum 'Hg1 Pt1'
_cell_length_a 3.024
_cell_length_b 3.024
_cell_length_c 3.988
_cell_angle_alpha 90.00
_cell_angle_beta 90.00
_cell_angle_gamma 90.00
_space_group_name_H-M_alt 'P 4/m m m'
_space_group_IT_number 123
_space_group_name_Hall '-P 4 2'
loop_
_atom_site_label
_atom_site_type_symbol
_atom_site_fract_x
_atom_site_fract_y
_atom_site_fract_z
Hg1 Hg 0.000 0.000 0.000
Pt1 Pt 0.500 0.500 0.500
```

Main lines, low angle first (2θ = 10–90°):
2θ (°), I (rel.), (hkl)
37.32, 100, 1 0 1
42.27, 36, 1 1 0
45.49, 14, 0 0 2
61.32, 12, 2 0 0
63.83, 21, 1 1 2
74.03, 28, 2 1 1

Computed XRD peak list
Compound: TaVC2
Radiation: copper Kα
Structure: a GGA-PBE-relaxed structure

Cell and atoms:
```
data_TaVC2
_chemical_formula_sum 'Ta3 V3 C6'
_cell_length_a 3.0806
_cell_length_b 3.0806
_cell_length_c 14.9124
_cell_angle_alpha 90.00
_cell_angle_beta 90.00
_cell_angle_gamma 120.00
_space_group_name_H-M_alt 'R -3 m'
_space_group_IT_number 166
_space_group_name_Hall '-R 3 2"'
loop_
_atom_site_label
_atom_site_type_symbol
_atom_site_fract_x
_atom_site_fract_y
_atom_site_fract_z
Ta1 Ta 0.0000 0.0000 0.0000
V1 V 0.0000 0.0000 0.5000
C1 C 0.0000 0.0000 0.2459
```

Main lines, low angle first (2θ = 10–90°):
2θ (°), I (rel.), (hkl)
17.84, 65, 0 0 3
34.14, 43, 1 0 1
35.75, 100, 0 1 2
36.14, 32, 0 0 6
41.63, 93, 1 0 4
60.07, 30, 1 1 0

Computed XRD peak list
Compound: BaNd
Radiation: copper Kα
Structure: a GGA-PBE-relaxed structure

Cell and atoms:
```
data_BaNd
_chemical_formula_sum 'Ba1 Nd1'
_cell_length_a 3.9633
_cell_length_b 3.9633
_cell_length_c 6.5839
_cell_angle_alpha 90.00
_cell_angle_beta 90.00
_cell_angle_gamma 120.00
_space_group_name_H-M_alt 'P -6 m 2'
_space_group_IT_number 187
_space_group_name_Hall 'P -6 2'
loop_
_atom_site_label
_atom_site_type_symbol
_atom_site_fract_x
_atom_site_fract_y
_atom_site_fract_z
Ba1 Ba 0.0000 0.0000 0.0000
Nd1 Nd 0.6667 0.3333 0.5000
```

Main lines, low angle first (2θ = 10–90°):
2θ (°), I (rel.), (hkl)
25.96, 23, 1 0 0
27.09, 27, 0 0 2
29.35, 100, 1 0 1
45.79, 19, 1 1 0
49.28, 24, 1 0 3
54.01, 24, 1 1 2

Computed XRD peak list
Compound: SrLa2BeO5
Radiation: copper Kα
Structure: a GGA-PBE-relaxed structure

Cell and atoms:
```
data_SrLa2BeO5
_chemical_formula_sum 'Sr4 La8 Be4 O20'
_cell_length_a 9.791
_cell_length_b 6.735
_cell_length_c 7.401
_cell_angle_alpha 90.00
_cell_angle_beta 90.00
_cell_angle_gamma 90.00
_space_group_name_H-M_alt 'P n a 21'
_space_group_IT_number 33
_space_group_name_Hall 'P 2c -2n'
loop_
_atom_site_label
_atom_site_type_symbol
_atom_site_fract_x
_atom_site_fract_y
_atom_site_fract_z
Sr1 Sr 0.175 0.083 0.000
La1 La 0.024 0.596 0.764
La2 La 0.172 0.075 0.546
Be1 Be 0.099 0.808 0.268
O1 O 0.010 0.016 0.267
O2 O 0.067 0.696 0.458
O3 O 0.068 0.689 0.078
O4 O 0.222 0.337 0.264
O5 O 0.231 0.365 0.768
```

Main lines, low angle first (2θ = 10–90°):
2θ (°), I (rel.), (hkl)
29.00, 90, 1 1 2
30.28, 66, 2 0 2
30.43, 100, 3 1 0
30.56, 46, 1 2 1
37.25, 48, 1 2 2
39.16, 41, 4 1 0